(1)
Structure and calculated powder diffractogram of Er2TeO2 (a GGA-PBE-relaxed structure; Cu Kα).
Intensities are scaled so that the largest is 100.

Atomic structure:
a b c (Å): 3.9015 3.9015 12.4122
angles (deg): 90.00 90.00 90.00
Element x y z (fractional)
Er: 0.0000 0.0000 0.1636
Er: 0.0000 0.0000 0.8364
Er: 0.5000 0.5000 0.3364
Er: 0.5000 0.5000 0.6636
Te: 0.0000 0.0000 0.5000
Te: 0.5000 0.5000 0.0000
O: 0.0000 0.5000 0.2500
O: 0.0000 0.5000 0.7500
O: 0.5000 0.0000 0.2500
O: 0.5000 0.0000 0.7500

Main lines, sorted by position (2θ from 10° to 90°):
- 2θ = 31.5°, I 100
- 2θ = 32.5°, I 40
- 2θ = 43.8°, I 9
- 2θ = 46.6°, I 19
- 2θ = 55.5°, I 23
- 2θ = 57.3°, I 37
- 2θ = 65.8°, I 11
- 2θ = 72.7°, I 9

(2)
Structure and calculated powder diffractogram of Er2Te5O13 (a GGA-PBE-relaxed structure; Cu Kα).
Intensities are scaled so that the largest is 100.

Atomic structure:
a b c (Å): 6.9828 8.7408 10.7113
angles (deg): 89.21 87.17 74.79
Element x y z (fractional)
Er: 0.0017 0.2614 0.2604
Er: 0.4475 0.4719 0.3206
Er: 0.5525 0.5281 0.6794
Er: 0.9983 0.7386 0.7396
Te: 0.1226 0.3503 0.6086
Te: 0.1570 0.8034 0.1403
Te: 0.2734 0.3937 0.9868
Te: 0.2896 0.8762 0.4764
Te: 0.4368 0.9022 0.8016
Te: 0.5632 0.0978 0.1984
Te: 0.7104 0.1238 0.5236
Te: 0.7266 0.6063 0.0132
Te: 0.8430 0.1966 0.8597
Te: 0.8774 0.6497 0.3914
O: 0.0444 0.3493 0.0665
O: 0.0566 0.8192 0.5395
O: 0.0653 0.0179 0.1886
O: 0.0667 0.2648 0.7780
O: 0.1257 0.4899 0.3934
O: 0.2352 0.4966 0.6881
O: 0.3132 0.7350 0.7856
O: 0.3279 0.2260 0.2767
O: 0.3314 0.7402 0.2735
O: 0.3386 0.5128 0.1185
O: 0.3471 0.9841 0.6248
O: 0.4637 0.1930 0.0185
O: 0.4662 0.6695 0.5000
O: 0.5338 0.3305 0.5000
O: 0.5363 0.8070 0.9815
O: 0.6529 0.0159 0.3752
O: 0.6614 0.4872 0.8815
O: 0.6686 0.2598 0.7265
O: 0.6721 0.7740 0.7233
O: 0.6868 0.2650 0.2144
O: 0.7648 0.5034 0.3119
O: 0.8743 0.5101 0.6066
O: 0.9333 0.7352 0.2220
O: 0.9347 0.9821 0.8114
O: 0.9434 0.1808 0.4605
O: 0.9556 0.6507 0.9335

Main lines, sorted by position (2θ from 10° to 90°):
- 2θ = 27.1°, I 100
- 2θ = 27.5°, I 58
- 2θ = 27.8°, I 47
- 2θ = 30.7°, I 33
- 2θ = 32.0°, I 27
- 2θ = 32.4°, I 24
- 2θ = 45.6°, I 14
- 2θ = 54.7°, I 14

(3)
Structure and calculated powder diffractogram of Er10Ti6O27 (a GGA-PBE-relaxed structure; Cu Kα).
Intensities are scaled so that the largest is 100.

Atomic structure:
a b c (Å): 7.4120 7.4120 12.1258
angles (deg): 108.82 108.82 61.39
Element x y z (fractional)
Er: 0.0000 0.0000 0.0000
Er: 0.0157 0.4876 0.5384
Er: 0.2547 0.7395 0.2712
Er: 0.2594 0.2594 0.2746
Er: 0.2834 0.7261 0.7671
Er: 0.4876 0.0157 0.5384
Er: 0.7261 0.2834 0.7671
Er: 0.7375 0.7375 0.7633
Er: 0.7395 0.2547 0.2712
Er: 0.7457 0.7457 0.2700
Ti: 0.0077 0.0077 0.5236
Ti: 0.0215 0.5103 0.0205
Ti: 0.2659 0.2659 0.8004
Ti: 0.5075 0.5075 0.0099
Ti: 0.5103 0.0215 0.0205
Ti: 0.5139 0.5139 0.5041
O: 0.0192 0.5714 0.1809
O: 0.0493 0.6238 0.7496
O: 0.0983 0.7711 0.5853
O: 0.1370 0.7284 0.0738
O: 0.1804 0.1804 0.6192
O: 0.1807 0.1807 0.0694
O: 0.3225 0.7907 0.4735
O: 0.3391 0.3391 0.9864
O: 0.3540 0.3540 0.4906
O: 0.3653 0.9985 0.8343
O: 0.3904 0.7775 0.9763
O: 0.4220 0.9520 0.3360
O: 0.4251 0.4251 0.8273
O: 0.4388 0.4388 0.3206
O: 0.5528 0.5528 0.6820
O: 0.5621 0.5621 0.1777
O: 0.5714 0.0192 0.1809
O: 0.6238 0.0493 0.7496
O: 0.6994 0.6994 0.5643
O: 0.7284 0.1370 0.0738
O: 0.7621 0.7621 0.9579
O: 0.7711 0.0983 0.5853
O: 0.7775 0.3904 0.9763
O: 0.7907 0.3225 0.4735
O: 0.9420 0.9420 0.3516
O: 0.9520 0.4220 0.3360
O: 0.9985 0.3653 0.8343

Main lines, sorted by position (2θ from 10° to 90°):
- 2θ = 29.3°, I 100
- 2θ = 30.3°, I 45
- 2θ = 31.8°, I 41
- 2θ = 34.8°, I 19
- 2θ = 35.1°, I 40
- 2θ = 48.1°, I 18
- 2θ = 49.2°, I 30
- 2θ = 51.3°, I 24

(4)
Structure and calculated powder diffractogram of Er2Ti2O7 (a GGA-PBE-relaxed structure; Cu Kα).
Intensities are scaled so that the largest is 100.

Atomic structure:
a b c (Å): 7.1549 7.1549 7.1549
angles (deg): 60.00 60.00 60.00
Element x y z (fractional)
Er: 0.0000 0.0000 0.0000
Er: 0.0000 0.0000 0.5000
Er: 0.0000 0.5000 0.0000
Er: 0.5000 0.0000 0.0000
Ti: 0.0000 0.5000 0.5000
Ti: 0.5000 0.0000 0.5000
Ti: 0.5000 0.5000 0.0000
Ti: 0.5000 0.5000 0.5000
O: 0.1250 0.1250 0.1250
O: 0.1685 0.1685 0.5815
O: 0.1685 0.5815 0.1685
O: 0.1685 0.5815 0.5815
O: 0.4185 0.4185 0.8315
O: 0.4185 0.8315 0.4185
O: 0.4185 0.8315 0.8315
O: 0.5815 0.1685 0.1685
O: 0.5815 0.1685 0.5815
O: 0.5815 0.5815 0.1685
O: 0.8315 0.4185 0.4185
O: 0.8315 0.4185 0.8315
O: 0.8315 0.8315 0.4185
O: 0.8750 0.8750 0.8750

Main lines, sorted by position (2θ from 10° to 90°):
- 2θ = 15.2°, I 33
- 2θ = 29.3°, I 18
- 2θ = 30.6°, I 100
- 2θ = 35.5°, I 30
- 2θ = 38.8°, I 22
- 2θ = 51.1°, I 48
- 2θ = 60.7°, I 41
- 2θ = 83.2°, I 17

(5)
Structure and calculated powder diffractogram of ErTiO3 (a GGA-PBE-relaxed structure; Cu Kα).
Intensities are scaled so that the largest is 100.

Atomic structure:
a b c (Å): 5.6889 7.6603 5.3039
angles (deg): 90.00 90.00 90.00
Element x y z (fractional)
Er: 0.0739 0.2500 0.0231
Er: 0.4261 0.7500 0.5231
Er: 0.5739 0.2500 0.4769
Er: 0.9261 0.7500 0.9769
Ti: 0.0000 0.0000 0.5000
Ti: 0.0000 0.5000 0.5000
Ti: 0.5000 0.0000 0.0000
Ti: 0.5000 0.5000 0.0000
O: 0.0490 0.7500 0.3730
O: 0.1949 0.5606 0.8126
O: 0.1949 0.9394 0.8126
O: 0.3051 0.0606 0.3126
O: 0.3051 0.4394 0.3126
O: 0.4510 0.2500 0.8730
O: 0.5490 0.7500 0.1270
O: 0.6949 0.5606 0.6874
O: 0.6949 0.9394 0.6874
O: 0.8051 0.0606 0.1874
O: 0.8051 0.4394 0.1874
O: 0.9510 0.2500 0.6270

Main lines, sorted by position (2θ from 10° to 90°):
- 2θ = 22.9°, I 31
- 2θ = 23.2°, I 22
- 2θ = 25.7°, I 30
- 2θ = 32.9°, I 100
- 2θ = 33.6°, I 19
- 2θ = 33.8°, I 24
- 2θ = 52.6°, I 24
- 2θ = 59.9°, I 29

(6)
Structure and calculated powder diffractogram of ErTlO2 (a GGA-PBE-relaxed structure; Cu Kα).
Intensities are scaled so that the largest is 100.

Atomic structure:
a b c (Å): 3.4650 3.4650 19.5274
angles (deg): 90.00 90.00 120.00
Element x y z (fractional)
Er: 0.0000 0.0000 0.0000
Er: 0.3333 0.6667 0.6667
Er: 0.6667 0.3333 0.3333
Tl: 0.0000 0.0000 0.5000
Tl: 0.3333 0.6667 0.1667
Tl: 0.6667 0.3333 0.8333
O: 0.0000 0.0000 0.2768
O: 0.0000 0.0000 0.7232
O: 0.3333 0.6667 0.3899
O: 0.3333 0.6667 0.9435
O: 0.6667 0.3333 0.0565
O: 0.6667 0.3333 0.6101

Main lines, sorted by position (2θ from 10° to 90°):
- 2θ = 27.4°, I 50
- 2θ = 31.2°, I 99
- 2θ = 35.1°, I 100
- 2θ = 48.0°, I 38
- 2θ = 52.8°, I 32
- 2θ = 56.2°, I 23
- 2θ = 60.5°, I 34
- 2θ = 65.0°, I 16

(7)
Structure and calculated powder diffractogram of ErTlO3 (a GGA-PBE-relaxed structure; Cu Kα).
Intensities are scaled so that the largest is 100.

Atomic structure:
a b c (Å): 4.4060 4.4060 4.4060
angles (deg): 90.00 90.00 90.00
Element x y z (fractional)
Er: 0.0000 0.0000 0.0000
Tl: 0.5000 0.5000 0.5000
O: 0.0000 0.0000 0.5000
O: 0.0000 0.5000 0.0000
O: 0.5000 0.0000 0.0000

Main lines, sorted by position (2θ from 10° to 90°):
- 2θ = 28.7°, I 100
- 2θ = 41.0°, I 27
- 2θ = 50.8°, I 43
- 2θ = 59.3°, I 18
- 2θ = 67.2°, I 19
- 2θ = 74.6°, I 6
- 2θ = 81.8°, I 22
- 2θ = 88.8°, I 3

(8)
Structure and calculated powder diffractogram of Er2U3O11 (a GGA-PBE-relaxed structure; Cu Kα).
Intensities are scaled so that the largest is 100.

Atomic structure:
a b c (Å): 9.9111 9.9111 9.9111
angles (deg): 158.03 148.33 38.88
Element x y z (fractional)
Er: 0.2031 0.2031 0.0000
Er: 0.7969 0.7969 0.0000
U: 0.0000 0.0000 0.0000
U: 0.4011 0.4011 0.0000
U: 0.5989 0.5989 0.0000
O: 0.0677 0.3064 0.7613
O: 0.1355 0.8984 0.2371
O: 0.2199 0.5000 0.7199
O: 0.3387 0.1016 0.2371
O: 0.4549 0.6936 0.7613
O: 0.5000 0.0000 0.5000
O: 0.5451 0.3064 0.2387
O: 0.6613 0.8984 0.7629
O: 0.7801 0.5000 0.2801
O: 0.8645 0.1016 0.7629
O: 0.9323 0.6936 0.2387

Main lines, sorted by position (2θ from 10° to 90°):
- 2θ = 28.8°, I 100
- 2θ = 29.0°, I 96
- 2θ = 33.1°, I 26
- 2θ = 33.7°, I 49
- 2θ = 48.0°, I 69
- 2θ = 57.2°, I 30
- 2θ = 57.6°, I 30
- 2θ = 77.9°, I 19

(9)
Structure and calculated powder diffractogram of ErZnO3 (a GGA-PBE-relaxed structure; Cu Kα).
Intensities are scaled so that the largest is 100.

Atomic structure:
a b c (Å): 3.8275 3.8275 3.8275
angles (deg): 90.00 90.00 90.00
Element x y z (fractional)
Er: 0.0000 0.0000 0.0000
Zn: 0.5000 0.5000 0.5000
O: 0.0000 0.5000 0.5000
O: 0.5000 0.0000 0.5000
O: 0.5000 0.5000 0.0000

Main lines, sorted by position (2θ from 10° to 90°):
- 2θ = 23.2°, I 14
- 2θ = 33.1°, I 100
- 2θ = 40.8°, I 16
- 2θ = 47.5°, I 30
- 2θ = 53.5°, I 7
- 2θ = 59.1°, I 39
- 2θ = 69.5°, I 18
- 2θ = 79.1°, I 17

Please write out number 2 again, unchanged.
Structure and calculated powder diffractogram of Er2Te5O13 (a GGA-PBE-relaxed structure; Cu Kα).
Intensities are scaled so that the largest is 100.

Atomic structure:
a b c (Å): 6.9828 8.7408 10.7113
angles (deg): 89.21 87.17 74.79
Element x y z (fractional)
Er: 0.0017 0.2614 0.2604
Er: 0.4475 0.4719 0.3206
Er: 0.5525 0.5281 0.6794
Er: 0.9983 0.7386 0.7396
Te: 0.1226 0.3503 0.6086
Te: 0.1570 0.8034 0.1403
Te: 0.2734 0.3937 0.9868
Te: 0.2896 0.8762 0.4764
Te: 0.4368 0.9022 0.8016
Te: 0.5632 0.0978 0.1984
Te: 0.7104 0.1238 0.5236
Te: 0.7266 0.6063 0.0132
Te: 0.8430 0.1966 0.8597
Te: 0.8774 0.6497 0.3914
O: 0.0444 0.3493 0.0665
O: 0.0566 0.8192 0.5395
O: 0.0653 0.0179 0.1886
O: 0.0667 0.2648 0.7780
O: 0.1257 0.4899 0.3934
O: 0.2352 0.4966 0.6881
O: 0.3132 0.7350 0.7856
O: 0.3279 0.2260 0.2767
O: 0.3314 0.7402 0.2735
O: 0.3386 0.5128 0.1185
O: 0.3471 0.9841 0.6248
O: 0.4637 0.1930 0.0185
O: 0.4662 0.6695 0.5000
O: 0.5338 0.3305 0.5000
O: 0.5363 0.8070 0.9815
O: 0.6529 0.0159 0.3752
O: 0.6614 0.4872 0.8815
O: 0.6686 0.2598 0.7265
O: 0.6721 0.7740 0.7233
O: 0.6868 0.2650 0.2144
O: 0.7648 0.5034 0.3119
O: 0.8743 0.5101 0.6066
O: 0.9333 0.7352 0.2220
O: 0.9347 0.9821 0.8114
O: 0.9434 0.1808 0.4605
O: 0.9556 0.6507 0.9335

Main lines, sorted by position (2θ from 10° to 90°):
- 2θ = 27.1°, I 100
- 2θ = 27.5°, I 58
- 2θ = 27.8°, I 47
- 2θ = 30.7°, I 33
- 2θ = 32.0°, I 27
- 2θ = 32.4°, I 24
- 2θ = 45.6°, I 14
- 2θ = 54.7°, I 14

> Which formula does entry 9 have?

ErZnO3